1.
The following is a theoretical powder diffractogram of Sm2GaSn2. It was derived from DFT lattice parameters and positions (PBE), using Cu Kα (weighted mean of Kα1 and Kα2).
Intensities are scaled so that the largest is 100.

Atomic structure:
```
data_Sm2GaSn2
_cell_length_a 4.5465
_cell_length_b 17.8557
_cell_length_c 6.8560
_cell_angle_alpha 90.00
_cell_angle_beta 90.00
_cell_angle_gamma 90.00
_symmetry_space_group_name_H-M 'C m c 21'
_symmetry_Int_Tables_number 36
loop_
_symmetry_equiv_pos_as_xyz
'x,y,z'
'-x,-y,z+1/2'
'-x,y,z'
'x,-y,z+1/2'
'x+1/2,y+1/2,z'
'-x+1/2,-y+1/2,z+1/2'
'-x+1/2,y+1/2,z'
'x+1/2,-y+1/2,z+1/2'
loop_
_atom_site_label
_atom_site_fract_x
_atom_site_fract_y
_atom_site_fract_z
Sm1 0.0000 0.0097 0.0000
Sm2 0.0000 0.2077 0.2968
Ga1 0.0000 0.4099 0.1796
Sn1 0.0000 0.1700 0.7794
Sn2 0.0000 0.4126 0.7670
```

Top 10 peaks for 10 to 80 degrees two-theta, low angle first:
two_theta  I/Imax  index
26.0  21  0 0 2
27.9  64  0 2 2
31.9  100  1 5 0
32.9  17  0 4 2
33.1  28  1 1 2
36.1  60  1 3 2
39.6  36  2 0 0
41.6  15  1 5 2
42.6  15  0 8 1
67.1  16  3 5 0

---

2.
The following is a theoretical powder diffractogram of PuZr2Zn. It was derived from DFT lattice parameters and positions (PBE), using Cu Kα (weighted mean of Kα1 and Kα2).
Intensities are scaled so that the largest is 100.

Atomic structure:
```
data_PuZr2Zn
_cell_length_a 3.2385
_cell_length_b 3.2385
_cell_length_c 29.1241
_cell_angle_alpha 90.00
_cell_angle_beta 90.00
_cell_angle_gamma 120.00
_symmetry_space_group_name_H-M 'R 3 m'
_symmetry_Int_Tables_number 160
_symmetry_space_group_name_Hall 'R 3 -2"'
loop_
_atom_site_label
_atom_site_fract_x
_atom_site_fract_y
_atom_site_fract_z
Pu1 0.0000 0.0000 0.0000
Zr1 0.0000 0.0000 0.2438
Zr2 0.0000 0.0000 0.4220
Zn1 0.0000 0.0000 0.8329
```

Top 10 peaks for 10 to 80 degrees two-theta, low angle first:
two_theta  I/Imax  index
32.1  31  1 0 1
32.5  30  0 1 2
34.3  42  1 0 4
35.5  100  0 1 5
37.0  38  0 0 12
38.7  64  1 0 7
40.6  19  0 1 8
56.9  37  1 1 0
63.6  19  0 1 17
69.8  35  1 1 12

---

3.
The following is a theoretical powder diffractogram of La8MgZn2. It was derived from DFT lattice parameters and positions (PBE), using Cu Kα (weighted mean of Kα1 and Kα2).
Intensities are scaled so that the largest is 100.

Atomic structure:
```
data_La8MgZn2
_cell_length_a 16.7102
_cell_length_b 5.5796
_cell_length_c 8.8644
_cell_angle_alpha 90.00
_cell_angle_beta 120.82
_cell_angle_gamma 90.00
_symmetry_space_group_name_H-M 'C 1 2/m 1'
_symmetry_Int_Tables_number 12
loop_
_symmetry_equiv_pos_as_xyz
'x,y,z'
'-x,-y,-z'
'-x,y,-z'
'x,-y,z'
'x+1/2,y+1/2,z'
'-x+1/2,-y+1/2,-z'
'-x+1/2,y+1/2,-z'
'x+1/2,-y+1/2,z'
loop_
_atom_site_label
_atom_site_fract_x
_atom_site_fract_y
_atom_site_fract_z
La1 0.0727 0.0000 0.2283
La2 0.1004 0.5000 0.9601
La3 0.1455 0.0000 0.7134
La4 0.1851 0.5000 0.4602
Mg1 0.0000 0.5000 0.5000
Zn1 0.2311 0.0000 0.1260
```

Top 10 peaks for 10 to 80 degrees two-theta, low angle first:
two_theta  I/Imax  index
26.5  30  3 1 -2
31.0  45  4 0 -3
31.5  98  5 1 -1
31.6  100  1 1 2
32.1  59  0 2 0
45.2  46  4 2 -3
55.7  17  10 0 -2
55.9  15  2 0 4
56.5  15  6 2 1
56.9  37  1 3 2

---

4.
The following is a theoretical powder diffractogram of Ac2TaCr2N6. It was derived from DFT lattice parameters and positions (PBE), using Cu Kα (weighted mean of Kα1 and Kα2).
Intensities are scaled so that the largest is 100.

Atomic structure:
```
data_Ac2TaCr2N6
_cell_length_a 5.8554
_cell_length_b 5.8554
_cell_length_c 16.1272
_cell_angle_alpha 90.00
_cell_angle_beta 90.00
_cell_angle_gamma 120.00
_symmetry_space_group_name_H-M 'R -3 m'
_symmetry_Int_Tables_number 166
_symmetry_space_group_name_Hall '-R 3 2"'
loop_
_atom_site_label
_atom_site_fract_x
_atom_site_fract_y
_atom_site_fract_z
Ac1 0.0000 0.0000 0.2303
Ta1 0.0000 0.0000 0.0000
Cr1 0.0000 0.0000 0.4346
N1 0.0049 0.5025 0.7438
```

Top 10 peaks for 10 to 80 degrees two-theta, low angle first:
two_theta  I/Imax  index
28.3  69  1 0 4
30.5  100  1 1 0
32.9  40  0 1 5
42.1  35  0 2 4
45.5  15  2 0 5
52.9  26  2 1 4
54.3  20  3 0 0
55.8  18  1 2 5
60.6  27  1 1 9
63.6  16  2 2 0

---

5.
The following is a theoretical powder diffractogram of Na4Pd6F19. It was derived from DFT lattice parameters and positions (PBE), using Cu Kα (weighted mean of Kα1 and Kα2).
Intensities are scaled so that the largest is 100.

Atomic structure:
```
data_Na4Pd6F19
_cell_length_a 9.7030
_cell_length_b 9.7030
_cell_length_c 9.7030
_cell_angle_alpha 90.00
_cell_angle_beta 90.00
_cell_angle_gamma 90.00
_symmetry_space_group_name_H-M 'I 2 3'
_symmetry_Int_Tables_number 197
_symmetry_space_group_name_Hall 'I 2 2 3'
loop_
_atom_site_label
_atom_site_fract_x
_atom_site_fract_y
_atom_site_fract_z
Na1 0.1351 0.1351 0.1351
Pd1 0.0000 0.1621 0.5000
F1 0.0000 0.0000 0.0000
F2 0.0000 0.0000 0.3437
F3 0.0236 0.2901 0.3251
```

Top 10 peaks for 10 to 80 degrees two-theta, low angle first:
two_theta  I/Imax  index
12.9  98  1 1 0
18.3  72  2 0 0
22.4  19  2 1 1
29.1  100  3 0 1
34.6  80  3 1 2
45.8  21  4 2 2
47.8  67  4 3 1
55.2  17  5 3 0
56.9  37  6 0 0
58.7  21  5 2 3

---

6.
The following is a theoretical powder diffractogram of NpReO6. It was derived from DFT lattice parameters and positions (PBE), using Cu Kα (weighted mean of Kα1 and Kα2).
Intensities are scaled so that the largest is 100.

Atomic structure:
```
data_NpReO6
_cell_length_a 4.7271
_cell_length_b 4.7271
_cell_length_c 8.3664
_cell_angle_alpha 90.00
_cell_angle_beta 90.00
_cell_angle_gamma 90.00
_symmetry_space_group_name_H-M 'P 42/m c m'
_symmetry_Int_Tables_number 132
_symmetry_space_group_name_Hall '-P 4c 2c'
loop_
_atom_site_label
_atom_site_fract_x
_atom_site_fract_y
_atom_site_fract_z
Np1 0.0000 0.0000 0.2500
Re1 0.5000 0.5000 0.0000
O1 0.2189 0.2189 0.0000
O2 0.2873 0.2873 0.3451
```

Top 10 peaks for 10 to 80 degrees two-theta, low angle first:
two_theta  I/Imax  index
26.7  64  1 1 0
28.5  100  1 0 2
38.1  16  2 0 0
48.2  54  2 1 2
51.5  21  1 1 4
54.9  12  2 2 0
59.0  15  2 0 4
63.0  13  3 0 2
76.1  12  3 2 2
78.7  13  3 1 4

---

7.
The following is a theoretical powder diffractogram of NdPuTh2As4. It was derived from DFT lattice parameters and positions (PBE), using Cu Kα (weighted mean of Kα1 and Kα2).
Intensities are scaled so that the largest is 100.

Atomic structure:
```
data_NdPuTh2As4
_cell_length_a 8.4650
_cell_length_b 8.4922
_cell_length_c 11.9895
_cell_angle_alpha 90.00
_cell_angle_beta 90.00
_cell_angle_gamma 90.00
_symmetry_space_group_name_H-M 'I m m a'
_symmetry_Int_Tables_number 74
_symmetry_space_group_name_Hall '-I 2b 2'
loop_
_atom_site_label
_atom_site_fract_x
_atom_site_fract_y
_atom_site_fract_z
Nd1 0.2500 0.2500 0.2500
Pu1 0.0000 0.0000 0.0000
Th1 0.0000 0.0000 0.5000
Th2 0.2500 0.2500 0.7500
As1 0.0000 0.0018 0.7511
As2 0.2466 0.2500 0.9992
```

Top 10 peaks for 10 to 80 degrees two-theta, low angle first:
two_theta  I/Imax  index
25.7  39  2 0 2
29.8  100  2 2 0
42.6  64  2 2 4
50.5  20  4 2 2
52.8  14  0 4 4
53.0  14  4 0 4
61.9  13  4 4 0
70.2  24  4 4 4
78.0  13  2 6 4
78.2  13  6 2 4

---

8.
The following is a theoretical powder diffractogram of AcSc2US8. It was derived from DFT lattice parameters and positions (PBE), using Cu Kα (weighted mean of Kα1 and Kα2).
Intensities are scaled so that the largest is 100.

Atomic structure:
```
data_AcSc2US8
_cell_length_a 5.7699
_cell_length_b 8.4429
_cell_length_c 6.1054
_cell_angle_alpha 90.00
_cell_angle_beta 90.44
_cell_angle_gamma 90.00
_symmetry_space_group_name_H-M 'P 1 2/m 1'
_symmetry_Int_Tables_number 10
loop_
_symmetry_equiv_pos_as_xyz
'x,y,z'
'-x,-y,-z'
'-x,y,-z'
'x,-y,z'
loop_
_atom_site_label
_atom_site_fract_x
_atom_site_fract_y
_atom_site_fract_z
Ac1 0.0000 0.0000 0.0000
Sc1 0.5000 0.2704 0.5000
U1 0.0000 0.5000 0.0000
S1 0.2543 0.0000 0.5378
S2 0.2578 0.5000 0.6509
S3 0.2611 0.2816 0.1413
```

Top 10 peaks for 10 to 80 degrees two-theta, low angle first:
two_theta  I/Imax  index
14.5  53  0 0 1
15.4  49  1 0 0
21.1  100  1 0 -1
21.3  53  1 0 1
25.7  32  0 2 1
26.2  75  1 2 0
30.1  52  1 2 1
40.6  43  2 2 -1
40.8  38  2 2 1
48.3  32  1 4 -1

---

9.
The following is a theoretical powder diffractogram of PmTc2Ge2. It was derived from DFT lattice parameters and positions (PBE), using Cu Kα (weighted mean of Kα1 and Kα2).
Intensities are scaled so that the largest is 100.

Atomic structure:
```
data_PmTc2Ge2
_cell_length_a 4.1771
_cell_length_b 4.1883
_cell_length_c 21.7018
_cell_angle_alpha 90.00
_cell_angle_beta 90.00
_cell_angle_gamma 90.00
_symmetry_space_group_name_H-M 'I m m a'
_symmetry_Int_Tables_number 74
_symmetry_space_group_name_Hall '-I 2b 2'
loop_
_atom_site_label
_atom_site_fract_x
_atom_site_fract_y
_atom_site_fract_z
Pm1 0.0000 0.2500 0.1611
Tc1 0.0000 0.2500 0.4639
Tc2 0.0000 0.2500 0.9652
Ge1 0.0000 0.2500 0.6038
Ge2 0.0000 0.2500 0.7202
```

Top 10 peaks for 10 to 80 degrees two-theta, low angle first:
two_theta  I/Imax  index
29.6  31  0 1 5
31.3  34  1 1 2
34.5  100  1 1 4
36.1  42  0 1 7
39.4  38  1 1 6
43.2  43  0 2 0
43.3  65  2 0 0
45.4  21  1 1 8
57.5  21  2 1 7
62.8  44  2 2 0

---

10.
The following is a theoretical powder diffractogram of MgSc8Tc2. It was derived from DFT lattice parameters and positions (PBE), using Cu Kα (weighted mean of Kα1 and Kα2).
Intensities are scaled so that the largest is 100.

Atomic structure:
```
data_MgSc8Tc2
_cell_length_a 8.1951
_cell_length_b 14.6587
_cell_length_c 5.0262
_cell_angle_alpha 90.00
_cell_angle_beta 127.73
_cell_angle_gamma 90.00
_symmetry_space_group_name_H-M 'C 1 m 1'
_symmetry_Int_Tables_number 8
loop_
_symmetry_equiv_pos_as_xyz
'x,y,z'
'x,-y,z'
'x+1/2,y+1/2,z'
'x+1/2,-y+1/2,z'
loop_
_atom_site_label
_atom_site_fract_x
_atom_site_fract_y
_atom_site_fract_z
Mg1 0.0000 0.0000 0.0000
Sc1 0.1445 0.1134 0.6439
Sc2 0.1959 0.5000 0.1960
Sc3 0.2808 0.3297 0.7798
Sc4 0.3109 0.2066 0.3097
Sc5 0.4382 0.0000 0.4395
Tc1 0.0135 0.3333 0.0111
```

Top 10 peaks for 10 to 80 degrees two-theta, low angle first:
two_theta  I/Imax  index
12.1  22  0 2 0
14.9  23  1 1 0
22.8  23  1 3 0
25.4  18  1 3 -1
33.3  34  0 4 1
33.5  26  3 1 -1
35.7  55  2 0 -2
36.8  21  0 6 0
37.8  100  1 3 1
43.5  21  2 6 -1

---

11.
The following is a theoretical powder diffractogram of Rb2InI6F. It was derived from DFT lattice parameters and positions (PBE), using Cu Kα (weighted mean of Kα1 and Kα2).
Intensities are scaled so that the largest is 100.

Atomic structure:
```
data_Rb2InI6F
_cell_length_a 8.8931
_cell_length_b 8.8931
_cell_length_c 10.7740
_cell_angle_alpha 90.00
_cell_angle_beta 90.00
_cell_angle_gamma 90.00
_symmetry_space_group_name_H-M 'I 4/m m m'
_symmetry_Int_Tables_number 139
_symmetry_space_group_name_Hall '-I 4 2'
loop_
_atom_site_label
_atom_site_fract_x
_atom_site_fract_y
_atom_site_fract_z
Rb1 0.0000 0.5000 0.2500
In1 0.0000 0.0000 0.0000
I1 0.0000 0.0000 0.2866
I2 0.2298 0.2298 0.0000
F1 0.0000 0.0000 0.5000
```

Top 10 peaks for 10 to 80 degrees two-theta, low angle first:
two_theta  I/Imax  index
14.1  19  1 1 0
26.0  100  2 0 2
26.8  17  1 0 3
28.4  76  2 2 0
33.3  22  0 0 4
40.6  27  4 0 0
44.3  36  2 2 4
44.6  16  3 2 3
48.8  30  4 2 2
53.4  19  4 0 4

---

12.
The following is a theoretical powder diffractogram of Ac6Ag2C. It was derived from DFT lattice parameters and positions (PBE), using Cu Kα (weighted mean of Kα1 and Kα2).
Intensities are scaled so that the largest is 100.

Atomic structure:
```
data_Ac6Ag2C
_cell_length_a 7.1870
_cell_length_b 7.9461
_cell_length_c 13.0823
_cell_angle_alpha 90.00
_cell_angle_beta 122.62
_cell_angle_gamma 90.00
_symmetry_space_group_name_H-M 'P 1 21/c 1'
_symmetry_Int_Tables_number 14
loop_
_symmetry_equiv_pos_as_xyz
'x,y,z'
'-x,-y,-z'
'-x,y+1/2,-z+1/2'
'x,-y+1/2,z+1/2'
loop_
_atom_site_label
_atom_site_fract_x
_atom_site_fract_y
_atom_site_fract_z
Ac1 0.1123 0.0252 0.2361
Ac2 0.2175 0.6993 0.0517
Ac3 0.3681 0.1771 0.0553
Ag1 0.3103 0.1001 0.7492
C1 0.0000 0.0000 0.0000
```

Top 10 peaks for 10 to 80 degrees two-theta, low angle first:
two_theta  I/Imax  index
26.9  47  1 2 -2
27.1  48  1 0 2
27.2  44  2 1 -2
27.4  40  1 0 -4
27.7  100  0 2 2
28.4  36  2 1 -1
28.5  50  2 1 -3
30.3  33  1 2 1
30.5  30  1 2 -3
36.1  27  1 3 -1

---

What is the formula in the first record?
Sm2GaSn2

---

Number 12 is which compound?
Ac6Ag2C